Starting from a structure optimized by DFT (PBE), the powder XRD pattern of SmSi2Ag2 was simulated for Cu Kα (weighted mean of Kα1 and Kα2).

```
data_SmSi2Ag2
_cell_length_a 4.209
_cell_length_b 4.209
_cell_length_c 10.763
_cell_angle_alpha 90.00
_cell_angle_beta 90.00
_cell_angle_gamma 90.00
_space_group_name_H-M_alt 'I 4/m m m'
_space_group_IT_number 139
_space_group_name_Hall '-I 4 2'
loop_
_atom_site_label
_atom_site_type_symbol
_atom_site_fract_x
_atom_site_fract_y
_atom_site_fract_z
_atom_site_occupancy
Sm1 Sm 0.000 0.000 0.000 1
Si1 Si 0.000 0.000 0.393 1
Ag1 Ag 0.000 0.500 0.250 1
```

Largest 8 diffraction maxima, by angle, 15° ≤ 2θ ≤ 90°:
- 22.69°, I = 20
- 32.80°, I = 23
- 33.30°, I = 19
- 34.44°, I = 100
- 42.98°, I = 33
- 55.43°, I = 17
- 60.24°, I = 15
- 73.27°, I = 21

Starting from a structure optimized by DFT (PBE), the powder XRD pattern of Sm3Si4Ag was simulated for Cu Kα (weighted mean of Kα1 and Kα2).

```
data_Sm3Si4Ag
_cell_length_a 4.330
_cell_length_b 5.825
_cell_length_c 15.091
_cell_angle_alpha 90.00
_cell_angle_beta 90.00
_cell_angle_gamma 90.00
_space_group_name_H-M_alt 'I m m m'
_space_group_IT_number 71
_space_group_name_Hall '-I 2 2'
loop_
_atom_site_label
_atom_site_type_symbol
_atom_site_fract_x
_atom_site_fract_y
_atom_site_fract_z
_atom_site_occupancy
Sm1 Sm 0.000 0.000 0.000 1
Sm2 Sm 0.000 0.500 0.192 1
Si1 Si 0.000 0.299 0.377 1
Ag1 Ag 0.000 0.000 0.500 1
```

Largest 8 diffraction maxima, by angle, 15° ≤ 2θ ≤ 90°:
- 23.37°, I = 26
- 28.27°, I = 100
- 30.70°, I = 19
- 35.11°, I = 17
- 36.28°, I = 19
- 41.72°, I = 17
- 53.10°, I = 17
- 55.42°, I = 17

Starting from a structure optimized by DFT (PBE), the powder XRD pattern of Sr3Si2Ag was simulated for Cu Kα (weighted mean of Kα1 and Kα2).

```
data_Sr3Si2Ag
_cell_length_a 6.261
_cell_length_b 11.453
_cell_length_c 10.529
_cell_angle_alpha 90.00
_cell_angle_beta 106.27
_cell_angle_gamma 90.00
_space_group_name_H-M_alt 'P 1 21/c 1'
_space_group_IT_number 14
loop_
_space_group_symop_operation_xyz
'x,y,z'
'-x,-y,-z'
'-x,y+1/2,-z+1/2'
'x,-y+1/2,z+1/2'
loop_
_atom_site_label
_atom_site_type_symbol
_atom_site_fract_x
_atom_site_fract_y
_atom_site_fract_z
_atom_site_occupancy
Sr1 Sr 0.170 0.231 0.344 1
Sr2 Sr 0.222 0.602 0.972 1
Sr3 Sr 0.298 0.537 0.603 1
Si1 Si 0.173 0.507 0.275 1
Si2 Si 0.335 0.128 0.635 1
Ag1 Ag 0.397 0.700 0.294 1
```

Largest 8 diffraction maxima, by angle, 15° ≤ 2θ ≤ 90°:
- 23.48°, I = 42
- 24.97°, I = 39
- 27.63°, I = 100
- 30.41°, I = 65
- 30.58°, I = 40
- 30.78°, I = 70
- 35.34°, I = 53
- 37.14°, I = 58

Starting from a structure optimized by DFT (PBE), the powder XRD pattern of Tb5Si2Ag2 was simulated for Cu Kα (weighted mean of Kα1 and Kα2).

```
data_Tb5Si2Ag2
_cell_length_a 15.807
_cell_length_b 7.526
_cell_length_c 7.518
_cell_angle_alpha 90.00
_cell_angle_beta 90.00
_cell_angle_gamma 90.00
_space_group_name_H-M_alt 'C m c e'
_space_group_IT_number 64
_space_group_name_Hall '-C 2ac 2'
loop_
_atom_site_label
_atom_site_type_symbol
_atom_site_fract_x
_atom_site_fract_y
_atom_site_fract_z
_atom_site_occupancy
Tb1 Tb 0.000 0.000 0.000 1
Tb2 Tb 0.130 0.180 0.323 1
Si1 Si 0.000 0.118 0.619 1
Ag1 Ag 0.214 0.000 0.000 1
```

Largest 8 diffraction maxima, by angle, 15° ≤ 2θ ≤ 90°:
- 26.49°, I = 21
- 27.11°, I = 19
- 31.56°, I = 27
- 32.90°, I = 100
- 33.70°, I = 29
- 35.02°, I = 29
- 38.26°, I = 36
- 54.59°, I = 16

Starting from a structure optimized by DFT (PBE), the powder XRD pattern of SiAg8Te6 was simulated for Cu Kα (weighted mean of Kα1 and Kα2).

```
data_SiAg8Te6
_cell_length_a 8.317
_cell_length_b 8.237
_cell_length_c 11.808
_cell_angle_alpha 90.00
_cell_angle_beta 90.00
_cell_angle_gamma 90.00
_space_group_name_H-M_alt 'P m n 21'
_space_group_IT_number 31
loop_
_space_group_symop_operation_xyz
'x,y,z'
'-x+1/2,-y,z+1/2'
'-x,y,z'
'x+1/2,-y,z+1/2'
loop_
_atom_site_label
_atom_site_type_symbol
_atom_site_fract_x
_atom_site_fract_y
_atom_site_fract_z
_atom_site_occupancy
Si1 Si 0.000 0.247 0.000 1
Ag1 Ag 0.000 0.754 0.961 1
Ag2 Ag 0.000 0.902 0.524 1
Ag3 Ag 0.182 0.366 0.656 1
Ag4 Ag 0.191 0.994 0.731 1
Ag5 Ag 0.211 0.398 0.338 1
Te1 Te 0.000 0.235 0.483 1
Te2 Te 0.000 0.493 0.128 1
Te3 Te 0.000 0.707 0.727 1
Te4 Te 0.000 0.999 0.123 1
Te5 Te 0.246 0.749 0.383 1
```

Largest 8 diffraction maxima, by angle, 15° ≤ 2θ ≤ 90°:
- 25.15°, I = 54
- 26.21°, I = 91
- 26.39°, I = 73
- 33.18°, I = 40
- 38.33°, I = 27
- 39.72°, I = 67
- 40.07°, I = 97
- 43.54°, I = 100

Starting from a structure optimized by DFT (PBE), the powder XRD pattern of SiAg3Te4 was simulated for Cu Kα (weighted mean of Kα1 and Kα2).

```
data_SiAg3Te4
_cell_length_a 6.306
_cell_length_b 6.306
_cell_length_c 12.585
_cell_angle_alpha 90.00
_cell_angle_beta 90.00
_cell_angle_gamma 90.00
_space_group_name_H-M_alt 'I -4 2 m'
_space_group_IT_number 121
_space_group_name_Hall 'I -4 2'
loop_
_atom_site_label
_atom_site_type_symbol
_atom_site_fract_x
_atom_site_fract_y
_atom_site_fract_z
_atom_site_occupancy
Si1 Si 0.000 0.000 0.000 1
Ag1 Ag 0.000 0.000 0.500 1
Ag2 Ag 0.000 0.500 0.250 1
Te1 Te 0.234 0.234 0.119 1
```

Largest 8 diffraction maxima, by angle, 15° ≤ 2θ ≤ 90°:
- 24.47°, I = 100
- 32.54°, I = 5
- 40.49°, I = 74
- 47.88°, I = 45
- 58.55°, I = 8
- 64.45°, I = 17
- 73.64°, I = 22
- 78.90°, I = 9

Starting from a structure optimized by DFT (PBE), the powder XRD pattern of VSiAgTe2 was simulated for Cu Kα (weighted mean of Kα1 and Kα2).

```
data_VSiAgTe2
_cell_length_a 5.218
_cell_length_b 5.218
_cell_length_c 4.613
_cell_angle_alpha 90.00
_cell_angle_beta 90.00
_cell_angle_gamma 90.00
_space_group_name_H-M_alt 'P 4/m m m'
_space_group_IT_number 123
_space_group_name_Hall '-P 4 2'
loop_
_atom_site_label
_atom_site_type_symbol
_atom_site_fract_x
_atom_site_fract_y
_atom_site_fract_z
_atom_site_occupancy
V1 V 0.000 0.000 0.000 1
Si1 Si 0.000 0.000 0.500 1
Ag1 Ag 0.500 0.500 0.500 1
Te1 Te 0.000 0.500 0.000 1
```

Largest 8 diffraction maxima, by angle, 15° ≤ 2θ ≤ 90°:
- 25.78°, I = 26
- 31.04°, I = 100
- 34.37°, I = 64
- 39.05°, I = 22
- 49.40°, I = 22
- 52.99°, I = 36
- 59.49°, I = 31
- 64.70°, I = 19

Starting from a structure optimized by DFT (PBE), the powder XRD pattern of YSiAgTe2 was simulated for Cu Kα (weighted mean of Kα1 and Kα2).

```
data_YSiAgTe2
_cell_length_a 5.771
_cell_length_b 5.771
_cell_length_c 5.474
_cell_angle_alpha 90.00
_cell_angle_beta 90.00
_cell_angle_gamma 90.00
_space_group_name_H-M_alt 'P 4/m m m'
_space_group_IT_number 123
_space_group_name_Hall '-P 4 2'
loop_
_atom_site_label
_atom_site_type_symbol
_atom_site_fract_x
_atom_site_fract_y
_atom_site_fract_z
_atom_site_occupancy
Y1 Y 0.000 0.000 0.000 1
Si1 Si 0.500 0.500 0.500 1
Ag1 Ag 0.000 0.000 0.500 1
Te1 Te 0.000 0.500 0.000 1
```

Largest 8 diffraction maxima, by angle, 15° ≤ 2θ ≤ 90°:
- 15.35°, I = 66
- 16.19°, I = 38
- 27.26°, I = 100
- 30.99°, I = 93
- 32.72°, I = 40
- 44.40°, I = 34
- 45.69°, I = 62
- 56.23°, I = 33